Sn3P2O8: calculated XRD peak list (Cu Kα), based on a structure optimized by DFT (PBE).

Crystal structure
abc: 11.4960 4.9597 16.9200
angles: 90.00 94.99 90.00
Space group P2_1/c (No. 14)
Unique sites:
Sn (0.0138, 0.2283, 0.3681) x4
Sn (0.3089, 0.7442, 0.2840) x4
Sn (0.3569, 0.1203, 0.5342) x4
P (0.1495, 0.7003, 0.4701) x4
P (0.4800, 0.2230, 0.8520) x4
O (0.0570, 0.6721, 0.9087) x4
O (0.1256, 0.7376, 0.0570) x4
O (0.1458, 0.1105, 0.9543) x4
O (0.2745, 0.6949, 0.9579) x4
O (0.3746, 0.1485, 0.3025) x4
O (0.4000, 0.6986, 0.1761) x4
O (0.4614, 0.5863, 0.3514) x4
O (0.4873, 0.1699, 0.4402) x4

The 12 most intense peaks (2θ from 10° to 90°), in order of falling intensity:
2θ = 26.57°, I = 100, hkl 2 1 2
2θ = 25.13°, I = 77, hkl 2 0 -4
2θ = 21.87°, I = 53, hkl 1 1 -2
2θ = 23.11°, I = 37, hkl 1 0 4
2θ = 36.77°, I = 31, hkl 0 1 6
2θ = 23.30°, I = 30, hkl 3 0 0
2θ = 37.02°, I = 23, hkl 4 1 -2
2θ = 36.22°, I = 20, hkl 0 2 0
2θ = 39.56°, I = 17, hkl 4 0 4
2θ = 42.37°, I = 15, hkl 3 1 -6
2θ = 19.50°, I = 13, hkl 1 1 0
2θ = 45.55°, I = 13, hkl 3 1 6